Simulated powder XRD pattern
Compound: Ho4ErBi
Radiation: Cu Ka
Structure: DFT lattice parameters and positions (PBE)

Structural model:
```
data_Ho4ErBi
_chemical_formula_sum 'Ho4 Er1 Bi1'
_cell_length_a 5.171
_cell_length_b 5.171
_cell_length_c 7.782
_cell_angle_alpha 90.00
_cell_angle_beta 90.00
_cell_angle_gamma 90.00
_symmetry_space_group_name_H-M 'P 4/m m m'
_symmetry_Int_Tables_number 123
_symmetry_space_group_name_Hall '-P 4 2'
loop_
_atom_site_label
_atom_site_type_symbol
_atom_site_fract_x
_atom_site_fract_y
_atom_site_fract_z
Ho1 Ho 0.000 0.500 0.242
Er1 Er 0.000 0.000 0.000
Bi1 Bi 0.500 0.500 0.500
```

Main lines, sorted by position (2θ = 15–90°):
(hkl)  d (Å)  Rel. int.
1 0 1  4.307  45
1 1 2  2.664  100
2 0 0  2.585  46
1 0 3  2.319  9
2 1 1  2.217  16
0 0 4  1.945  10
2 2 0  1.828  17
2 0 4  1.555  19
3 1 2  1.507  36
2 2 4  1.332  12